Entry 1:
PrDyGeCl: theoretical X-ray diffraction stick pattern (Cu Kα (weighted mean of Kα1 and Kα2)), based on a cell relaxed with PBE.

Crystal structure
Lattice parameters (Å, degrees): 5.846 4.906 8.598 90.00 90.00 90.00
Space group Amm2 (No. 38)
One atom of each set of equivalent atoms:
Pr: 0.000 0.000 0.000 x2
Dy: 0.500 0.000 0.669 x2
Ge: 0.500 0.000 0.001 x2
Cl: 0.000 0.000 0.669 x2

The 8 most intense peaks (10° ≤ 2θ ≤ 90°), most intense first:
two_theta	intensity	h k l
20.8	100	0 1 1
36.3	93	0 1 3
48.2	82	2 1 3
30.6	74	2 0 0
25.9	72	1 1 1
20.7	48	0 0 2
36.6	45	0 2 0
37.3	44	2 1 1

Entry 2:
CsTh2Te6: theoretical X-ray diffraction stick pattern (Cu Kα (weighted mean of Kα1 and Kα2)), based on a cell relaxed with PBE.

Crystal structure
Lattice parameters (Å, degrees): 6.162 4.474 25.603 90.00 90.00 90.00
Space group Amm2 (No. 38)
One atom of each set of equivalent atoms:
Cs: 0.000 0.000 0.000 x2
Th: 0.000 0.000 0.815 x2
Th: 0.500 0.000 0.181 x2
Te: 0.000 0.000 0.225 x2
Te: 0.250 0.000 0.384 x4
Te: 0.253 0.000 0.611 x4
Te: 0.500 0.000 0.770 x2

The 8 most intense peaks (10° ≤ 2θ ≤ 90°), most intense first:
two_theta	intensity	h k l
26.5	100	0 1 5
35.6	38	2 1 1
40.3	34	0 2 0
37.0	29	2 1 3
32.2	28	2 0 4
34.9	26	1 1 7
16.0	22	1 0 2
30.2	22	1 1 5

- Which formula does entry 2 have?
  CsTh2Te6